1.
Diffraction record for Tb5Al2Te2. The powder diffractogram is calculated, not measured: it uses the GGA-PBE geometry in Alexandria and Cu Kα (λ = 1.5418 Å).

Crystal structure
```
data_Tb5Al2Te2
_chemical_formula_sum 'Tb20 Al8 Te8'
_cell_length_a 15.551
_cell_length_b 7.973
_cell_length_c 7.994
_cell_angle_alpha 90.00
_cell_angle_beta 90.00
_cell_angle_gamma 90.00
_symmetry_space_group_name_H-M 'C m c e'
_symmetry_Int_Tables_number 64
_symmetry_space_group_name_Hall '-C 2ac 2'
loop_
_atom_site_label
_atom_site_fract_x
_atom_site_fract_y
_atom_site_fract_z
Tb1 0.000 0.000 0.000
Tb2 0.131 0.170 0.331
Al1 0.000 0.122 0.621
Te1 0.204 0.000 0.000
```

Main lines, low angle first (10° ≤ 2θ ≤ 90°):
(3 1 2), 2θ 30.4, rel. 54.9
(0 2 2), 2θ 31.7, rel. 50.3
(4 2 0), 2θ 32.1, rel. 100.0
(5 1 1), 2θ 32.9, rel. 56.7
(4 2 1), 2θ 34.1, rel. 60.5
(1 3 1), 2θ 36.0, rel. 89.8



2.
Diffraction record for AcMgCdAg6. The powder diffractogram is calculated, not measured: it uses the GGA-PBE geometry in Alexandria and Cu Kα (λ = 1.5418 Å).

Crystal structure
```
data_AcMgCdAg6
_chemical_formula_sum 'Ac4 Mg4 Cd4 Ag24'
_cell_length_a 7.613
_cell_length_b 9.872
_cell_length_c 11.187
_cell_angle_alpha 90.00
_cell_angle_beta 90.00
_cell_angle_gamma 90.00
_symmetry_space_group_name_H-M 'I m m a'
_symmetry_Int_Tables_number 74
_symmetry_space_group_name_Hall '-I 2b 2'
loop_
_atom_site_label
_atom_site_fract_x
_atom_site_fract_y
_atom_site_fract_z
Ac1 0.000 0.250 0.217
Mg1 0.000 0.000 0.000
Cd1 0.250 0.250 0.750
Ag1 0.000 0.250 0.519
Ag2 0.000 0.250 0.927
Ag3 0.187 0.004 0.373
```

Main lines, low angle first (10° ≤ 2θ ≤ 90°):
(2 1 1), 2θ 26.3, rel. 44.7
(2 2 0), 2θ 29.6, rel. 95.1
(1 2 3), 2θ 32.3, rel. 51.7
(2 1 3), 2θ 34.9, rel. 64.3
(0 4 0), 2θ 36.4, rel. 83.7
(0 2 4), 2θ 37.0, rel. 100.0



3.
Diffraction record for U4MnGe8. The powder diffractogram is calculated, not measured: it uses the GGA-PBE geometry in Alexandria and Cu Kα (λ = 1.5418 Å).

Crystal structure
```
data_U4MnGe8
_chemical_formula_sum 'U4 Mn1 Ge8'
_cell_length_a 4.024
_cell_length_b 4.106
_cell_length_c 15.692
_cell_angle_alpha 90.00
_cell_angle_beta 90.00
_cell_angle_gamma 90.00
_symmetry_space_group_name_H-M 'P m m 2'
_symmetry_Int_Tables_number 25
_symmetry_space_group_name_Hall 'P 2 -2'
loop_
_atom_site_label
_atom_site_fract_x
_atom_site_fract_y
_atom_site_fract_z
U1 0.000 0.000 0.000
U2 0.000 0.500 0.483
U3 0.500 0.000 0.782
U4 0.500 0.500 0.288
Mn1 0.000 0.500 0.704
Ge1 0.000 0.000 0.326
Ge2 0.000 0.000 0.620
Ge3 0.000 0.500 0.143
Ge4 0.000 0.500 0.854
Ge5 0.500 0.000 0.145
Ge6 0.500 0.000 0.441
Ge7 0.500 0.500 0.619
Ge8 0.500 0.500 0.959
```

Main lines, low angle first (10° ≤ 2θ ≤ 90°):
(1 0 2), 2θ 24.9, rel. 26.9
(0 0 6), 2θ 34.3, rel. 14.7
(1 1 3), 2θ 35.6, rel. 100.0
(0 1 5), 2θ 36.0, rel. 20.7
(0 2 0), 2θ 44.1, rel. 18.2
(2 0 0), 2θ 45.1, rel. 17.1



4.
Diffraction record for Dy2Ho6Se3. The powder diffractogram is calculated, not measured: it uses the GGA-PBE geometry in Alexandria and Cu Kα (λ = 1.5418 Å).

Crystal structure
```
data_Dy2Ho6Se3
_chemical_formula_sum 'Dy6 Ho18 Se9'
_cell_length_a 3.7723
_cell_length_b 3.7723
_cell_length_c 75.3153
_cell_angle_alpha 90.00
_cell_angle_beta 90.00
_cell_angle_gamma 120.00
_symmetry_space_group_name_H-M 'R -3 m'
_symmetry_Int_Tables_number 166
_symmetry_space_group_name_Hall '-R 3 2"'
loop_
_atom_site_label
_atom_site_fract_x
_atom_site_fract_y
_atom_site_fract_z
Dy1 0.0000 0.0000 0.0559
Ho1 0.0000 0.0000 0.1423
Ho2 0.0000 0.0000 0.3150
Ho3 0.0000 0.0000 0.4264
Se1 0.0000 0.0000 0.2150
Se2 0.0000 0.0000 0.5000
```

Main lines, low angle first (10° ≤ 2θ ≤ 90°):
(0 1 8), 2θ 28.9, rel. 34.3
(0 1 11), 2θ 30.3, rel. 100.0
(0 0 27), 2θ 32.1, rel. 43.3
(1 0 19), 2θ 35.6, rel. 34.6
(1 1 0), 2θ 48.3, rel. 48.3
(1 1 27), 2θ 59.1, rel. 20.0